# SmEu2NbO6
Theoretical XRD peak list, Cu Kα, 1.54184 Å. Input: a cell relaxed with PBE.
Intensities are scaled so that the largest is 100.

Top 12 peaks for 2θ from 15° to 90°, sorted by position:
17.99 deg, I 1; 29.58 deg, I 100; 34.84 deg, I 2; 36.44 deg, I 4; 42.33 deg, I 29; 46.34 deg, I 1; 52.49 deg, I 41; 61.41 deg, I 18; 69.63 deg, I 18; 73.56 deg, I 1; 77.42 deg, I 6; 84.99 deg, I 21

Structure:
Cell: 8.540 8.540 8.540 Å, 90.00 90.00 90.00°
Space group Fm-3m (No. 225)
Asymmetric unit:
Sm: 0.000 0.000 0.000 (multiplicity 4)
Eu: 0.250 0.250 0.250 (multiplicity 8)
Nb: 0.000 0.000 0.500 (multiplicity 4)
O: 0.000 0.000 0.265 (multiplicity 24)

***

# KZrPSe6
Theoretical XRD peak list, Cu Kα, 1.54184 Å. Input: a cell relaxed with PBE.
Intensities are scaled so that the largest is 100.

Top 12 peaks for 2θ from 15° to 90°, sorted by position:
15.12 deg, I 53; 26.33 deg, I 35; 29.47 deg, I 56; 29.77 deg, I 30; 30.94 deg, I 32; 33.41 deg, I 100; 33.93 deg, I 33; 34.50 deg, I 29; 34.72 deg, I 28; 37.51 deg, I 46; 38.19 deg, I 54; 47.06 deg, I 43

Structure:
Cell: 3.862 15.225 18.353 Å, 90.00 90.00 90.00°
Space group Pmc2_1 (No. 26)
Asymmetric unit:
K: 0.000 0.045 0.000 (multiplicity 2)
K: 0.000 0.393 0.008 (multiplicity 2)
Zr: 0.500 0.209 0.786 (multiplicity 2)
Zr: 0.500 0.297 0.418 (multiplicity 2)
P: 0.000 0.024 0.700 (multiplicity 2)
P: 0.000 0.382 0.256 (multiplicity 2)
Se: 0.000 0.079 0.817 (multiplicity 2)
Se: 0.000 0.113 0.181 (multiplicity 2)
Se: 0.000 0.166 0.385 (multiplicity 2)
Se: 0.000 0.224 0.506 (multiplicity 2)
Se: 0.000 0.286 0.694 (multiplicity 2)
Se: 0.000 0.328 0.819 (multiplicity 2)
Se: 0.000 0.422 0.379 (multiplicity 2)
Se: 0.000 0.479 0.174 (multiplicity 2)
Se: 0.500 0.097 0.654 (multiplicity 2)
Se: 0.500 0.204 0.938 (multiplicity 2)
Se: 0.500 0.289 0.258 (multiplicity 2)
Se: 0.500 0.422 0.523 (multiplicity 2)